The following is a theoretical powder diffraction line list of LaDySn. It was derived from a crystal structure in Alexandria, relaxed with GGA-PBE, using λ = 1.5418 Å (Cu Kα).
Intensities are scaled so that the largest is 100.

Structural model:
```
data_LaDySn
_cell_length_a 5.6551
_cell_length_b 9.4798
_cell_length_c 6.8102
_cell_angle_alpha 90.00
_cell_angle_beta 90.00
_cell_angle_gamma 90.00
_symmetry_space_group_name_H-M 'C m c m'
_symmetry_Int_Tables_number 63
_symmetry_space_group_name_Hall '-C 2c 2'
loop_
_atom_site_label
_atom_site_fract_x
_atom_site_fract_y
_atom_site_fract_z
La1 0.0000 0.1665 0.2500
Dy1 0.0000 0.5000 0.0000
Sn1 0.0000 0.1716 0.7500
```

Peak list (8 most intense, 15 to 90 degrees two-theta, by angle)
index, two_theta, I/Imax
2 0 0, 31.64, 35.7
1 1 2, 32.10, 64.2
1 3 0, 32.43, 100.0
2 2 2, 45.90, 25.6
3 1 2, 56.65, 12.9
3 3 0, 56.88, 13.6
1 5 2, 58.02, 13.6
1 3 4, 64.30, 18.9